Entry 1:
This entry pairs a crystal structure of Li3Pd2Au6 with its computed powder XRD pattern. Radiation: Cu Kα. Structure: a crystal structure in Alexandria, relaxed with GGA-PBE.

Cell and atoms:
```
11
Lattice="4.891 0.000 0.000 -0.929 6.335 0.000 -1.664 -2.126 5.811" Properties=species:S:1:pos:R:3 pbc="T T T"
Li 0.000 0.000 0.000
Li -0.862 4.316 2.101
Li 3.161 -0.106 3.710
Pd 0.770 2.658 0.521
Pd 1.528 1.551 5.290
Au -0.930 2.467 4.266
Au 0.720 0.686 2.589
Au 0.741 -1.141 4.716
Au 1.557 5.350 1.095
Au 1.578 3.524 3.223
Au 3.228 1.743 1.545
```

Largest 8 diffraction maxima, low angle first, 2θ from 15° to 90°:
19.35°, intensity 28; 25.80°, intensity 17; 27.24°, intensity 20; 38.44°, intensity 50; 38.72°, intensity 100; 38.91°, intensity 52; 44.65°, intensity 67; 45.67°, intensity 32

---

Entry 2:
This entry pairs a crystal structure of Dy3Y3Ho4 with its computed powder XRD pattern. Radiation: Cu Kα. Structure: a crystal structure in Alexandria, relaxed with GGA-PBE.

Cell and atoms:
```
10
Lattice="3.711 0.000 0.000 0.000 6.571 6.566 0.000 -6.571 6.566" Properties=species:S:1:pos:R:3 pbc="T T T"
Dy 0.000 0.000 0.000
Dy 1.856 -3.281 5.537
Dy 1.856 3.281 5.537
Y 0.000 0.000 4.511
Y 0.000 -2.261 8.824
Y 0.000 2.261 8.824
Ho 1.856 -1.658 2.243
Ho 1.856 1.658 2.243
Ho 1.856 0.000 7.166
Ho 1.856 0.000 10.493
```

Largest 8 diffraction maxima, low angle first, 2θ from 15° to 90°:
30.43°, intensity 70; 30.84°, intensity 28; 32.35°, intensity 100; 34.82°, intensity 16; 39.11°, intensity 20; 56.25°, intensity 20; 58.86°, intensity 22; 59.05°, intensity 17

---

Entry 3:
This entry pairs a crystal structure of PmH4Pd4 with its computed powder XRD pattern. Radiation: Cu Kα. Structure: a crystal structure in Alexandria, relaxed with GGA-PBE.

Cell and atoms:
```
9
Lattice="-3.540 3.540 2.001 3.540 -3.540 2.001 3.540 3.540 -2.001" Properties=species:S:1:pos:R:3 pbc="T T T"
Pm 0.000 0.000 0.000
H 4.673 1.245 0.000
H 1.245 2.408 0.000
H 2.295 1.133 2.001
H -1.133 2.295 2.001
Pd 2.755 1.345 0.000
Pd 2.195 -0.785 2.001
Pd 1.345 4.325 0.000
Pd 0.785 2.195 2.001
```

Largest 8 diffraction maxima, low angle first, 2θ from 15° to 90°:
36.17°, intensity 100; 40.28°, intensity 38; 45.31°, intensity 14; 58.28°, intensity 12; 62.22°, intensity 21; 70.54°, intensity 27; 76.76°, intensity 11; 77.66°, intensity 11